# 1
Computed X-ray powder pattern
Compound: Np2As2H
Radiation: Cu Kα (weighted mean of Kα1 and Kα2)
Structure: DFT lattice parameters and positions (PBE)

Principal peaks in the range 2θ = 10–90°, in order of falling intensity:
2θ/deg, I/Imax
30.9, 100
26.8, 78
44.6, 75
31.3, 57
55.2, 34
44.2, 32
52.5, 21
74.1, 17

Structure:
```
Np2As2H
1.0
-2.8964 5.7873 2.8534
2.8964 -5.7873 2.8534
2.8964 5.7873 -2.8534
Np As H
4 4 2
direct
0.1114 0.2169 0.3283
0.3886 0.7169 0.1056
0.6114 0.2831 0.8944
0.8886 0.7831 0.6717
0.1414 0.7090 0.8504
0.3586 0.2090 0.5676
0.6414 0.7910 0.4324
0.8586 0.2910 0.1496
0.2500 0.2500 0.0000
0.7500 0.7500 0.0000
```


# 2
Computed X-ray powder pattern
Compound: Bi2Au9
Radiation: Cu Kα (weighted mean of Kα1 and Kα2)
Structure: DFT lattice parameters and positions (PBE)

Principal peaks in the range 2θ = 10–90°, in order of falling intensity:
2θ/deg, I/Imax
35.2, 100
42.4, 55
58.0, 30
73.0, 20
36.3, 20
40.3, 18
44.3, 18
69.6, 14

Structure:
```
Bi2Au9
1.0
3.1833 0.0000 0.0000
-1.5916 2.7568 0.0000
0.0000 0.0000 33.5414
Bi Au
2 9
direct
0.3333 0.6667 0.3308
0.6667 0.3333 0.6692
0.0000 0.0000 0.0000
0.0000 0.0000 0.1932
0.0000 0.0000 0.8068
0.3333 0.6667 0.1287
0.3333 0.6667 0.7417
0.3333 0.6667 0.9356
0.6667 0.3333 0.0644
0.6667 0.3333 0.2583
0.6667 0.3333 0.8713
```